(1)
This entry pairs a crystal structure of KMg14Cu with its simulated X-ray diffraction stick pattern. Radiation: CuKα. Structure: a crystal structure in Alexandria, relaxed with GGA-PBE.

Crystal structure
```
16
Lattice="6.4203 0.0000 0.0000 -3.2101 5.5601 0.0000 0.0000 0.0000 10.5508" Properties=species:S:1:pos:R:3 pbc="T T T"
K 0.0000 0.0000 0.0000
Mg -1.5564 2.8082 0.0000
Mg 0.0000 1.8343 2.8692
Mg 0.0000 1.8343 7.6816
Mg -1.6216 4.6430 2.8692
Mg -1.6216 4.6430 7.6816
Mg 1.5564 2.8082 0.0000
Mg 0.0000 5.5039 0.0000
Mg 3.2101 0.0516 5.2754
Mg 1.6497 2.7543 5.2754
Mg 3.2101 1.8534 2.5366
Mg 3.2101 1.8534 8.0142
Mg 1.6216 4.6430 2.8692
Mg 1.6216 4.6430 7.6816
Mg 4.7705 2.7543 5.2754
Cu 0.0000 0.0000 5.2754
```

Most intense lines, 2θ from 10° to 80°, low angle first:
5.560 Å, 15.94°, rel. 9; 4.919 Å, 18.03°, rel. 4; 3.827 Å, 23.24°, rel. 7; 2.780 Å, 32.20°, rel. 25; 2.638 Å, 33.99°, rel. 25; 2.459 Å, 36.53°, rel. 100; 1.913 Å, 47.52°, rel. 15; 1.605 Å, 57.41°, rel. 17; 1.486 Å, 62.50°, rel. 16; 1.371 Å, 68.42°, rel. 17; 1.344 Å, 69.99°, rel. 13; 1.230 Å, 77.64°, rel. 3

(2)
This entry pairs a crystal structure of KMg14Cu with its simulated X-ray diffraction stick pattern. Radiation: CuKα. Structure: a crystal structure in Alexandria, relaxed with GGA-PBE.

Crystal structure
```
16
Lattice="10.5004 0.0000 0.0000 0.0000 3.1770 5.6578 0.0000 -3.1770 5.6578" Properties=species:S:1:pos:R:3 pbc="T T T"
K 0.0000 0.0000 0.0000
Mg 0.0000 -1.5331 2.8418
Mg 0.0000 1.5331 2.8418
Mg 2.3321 0.0000 7.2014
Mg 2.6581 -1.5530 4.4548
Mg 2.6581 1.5530 4.4548
Mg 2.7791 0.0000 1.7033
Mg 5.2502 0.0000 5.4563
Mg 5.2502 -1.5480 8.2697
Mg 5.2502 1.5480 8.2697
Mg 5.2502 0.0000 11.0792
Mg 7.7214 0.0000 1.7033
Mg 7.8424 -1.5530 4.4548
Mg 7.8424 1.5530 4.4548
Mg 8.1684 0.0000 7.2014
Cu 0.0000 0.0000 5.2070
```

Most intense lines, 2θ from 10° to 80°, low angle first:
2.829 Å, 31.63°, rel. 10; 2.770 Å, 32.32°, rel. 29; 2.625 Å, 34.16°, rel. 41; 2.490 Å, 36.07°, rel. 55; 2.450 Å, 36.68°, rel. 100; 1.905 Å, 47.73°, rel. 18; 1.622 Å, 56.77°, rel. 15; 1.488 Å, 62.39°, rel. 9; 1.479 Å, 62.81°, rel. 18; 1.380 Å, 67.94°, rel. 16; 1.359 Å, 69.12°, rel. 9; 1.339 Å, 70.29°, rel. 14